1.
Simulated powder X-ray diffraction pattern
Compound: Ce2Th2FeGe4
Radiation: Cu Kα (weighted mean of Kα1 and Kα2)
Structure: DFT lattice parameters and positions (GGA-PBE)
Kinematic intensities with the Lorentz-polarization factor, no thermal factor.

Main lines, most intense first (10 to 90 degrees two-theta):
d (Å), 2θ/deg, intensity
2.641, 33.94, 1000
2.564, 34.99, 655
1.495, 62.09, 346
3.626, 24.55, 325
1.813, 50.32, 231
1.541, 60.04, 179
3.082, 28.98, 150
1.321, 71.42, 105
1.147, 84.48, 101
2.422, 37.11, 95
1.928, 47.15, 94
1.971, 46.05, 84

Structure:
a b c (Å): 6.416 6.416 6.416
angles (deg): 111.16 111.16 106.14
Fractional coordinates of all 9 atoms:
Ce 0.197 0.197 0.000
Ce 0.803 0.803 0.000
Th 0.250 0.750 0.500
Th 0.750 0.250 0.500
Fe 0.500 0.500 0.000
Ge 0.262 0.262 0.524
Ge 0.262 0.738 0.000
Ge 0.738 0.262 0.000
Ge 0.738 0.738 0.476



2.
Simulated powder X-ray diffraction pattern
Compound: BeTlMo
Radiation: Cu Kα (weighted mean of Kα1 and Kα2)
Structure: DFT lattice parameters and positions (GGA-PBE)
Kinematic intensities with the Lorentz-polarization factor, no thermal factor.

Main lines, most intense first (10 to 90 degrees two-theta):
d (Å), 2θ/deg, intensity
2.329, 38.67, 1000
2.731, 32.80, 605
6.307, 14.04, 581
3.153, 28.30, 348
2.293, 39.29, 253
1.515, 61.19, 216
1.331, 70.82, 170
2.102, 43.03, 155
1.854, 49.13, 155
1.550, 59.67, 118
1.765, 51.81, 114
1.398, 66.91, 106

Structure:
a b c (Å): 3.529 4.586 12.613
angles (deg): 90.00 90.00 90.00
Fractional coordinates of all 12 atoms:
Be 0.000 0.000 0.000
Be 0.000 0.500 0.500
Be 0.500 0.000 0.500
Be 0.500 0.500 0.000
Tl 0.000 0.000 0.321
Tl 0.000 0.500 0.821
Tl 0.500 0.000 0.821
Tl 0.500 0.500 0.321
Mo 0.000 0.000 0.628
Mo 0.000 0.500 0.128
Mo 0.500 0.000 0.128
Mo 0.500 0.500 0.628



3.
Simulated powder X-ray diffraction pattern
Compound: Ac2H6RuAu
Radiation: Cu Kα (weighted mean of Kα1 and Kα2)
Structure: DFT lattice parameters and positions (GGA-PBE)
Kinematic intensities with the Lorentz-polarization factor, no thermal factor.

Main lines, most intense first (10 to 90 degrees two-theta):
d (Å), 2θ/deg, intensity
2.835, 31.56, 1000
2.820, 31.73, 987
2.865, 31.22, 514
2.778, 32.23, 474
1.642, 55.99, 405
2.004, 45.24, 385
1.267, 74.93, 305
1.651, 55.68, 206
1.625, 56.63, 196
1.617, 56.95, 193
1.609, 57.26, 190
1.984, 45.73, 187

Structure:
a b c (Å): 5.642 5.642 5.555
angles (deg): 119.16 119.16 90.56
Fractional coordinates of all 10 atoms:
Ac 0.250 0.750 0.000
Ac 0.750 0.250 0.000
H 0.214 0.214 0.934
H 0.216 0.216 0.494
H 0.217 0.783 0.500
H 0.783 0.217 0.500
H 0.784 0.784 0.506
H 0.786 0.786 0.066
Ru 0.000 0.000 0.500
Au 0.500 0.500 0.500



4.
Simulated powder X-ray diffraction pattern
Compound: La4SnCl5
Radiation: Cu Kα (weighted mean of Kα1 and Kα2)
Structure: DFT lattice parameters and positions (GGA-PBE)
Kinematic intensities with the Lorentz-polarization factor, no thermal factor.

Main lines, most intense first (10 to 90 degrees two-theta):
d (Å), 2θ/deg, intensity
3.069, 29.10, 1000
8.645, 10.23, 837
2.124, 42.57, 485
2.972, 30.07, 440
2.146, 42.10, 348
3.808, 23.36, 197
2.219, 40.65, 191
1.728, 52.98, 174
3.030, 29.48, 138
2.483, 36.17, 138
1.535, 60.31, 137
4.458, 19.92, 114

Structure:
a b c (Å): 9.399 9.399 8.877
angles (deg): 102.80 102.80 26.12
Fractional coordinates of all 10 atoms:
La 0.007 0.007 0.255
La 0.326 0.326 0.929
La 0.674 0.674 0.071
La 0.993 0.993 0.745
Sn 0.500 0.500 0.000
Cl 0.160 0.160 0.826
Cl 0.171 0.171 0.302
Cl 0.500 0.500 0.500
Cl 0.829 0.829 0.698
Cl 0.840 0.840 0.174



5.
Simulated powder X-ray diffraction pattern
Compound: TlHg6S4Br5
Radiation: Cu Kα (weighted mean of Kα1 and Kα2)
Structure: DFT lattice parameters and positions (GGA-PBE)
Kinematic intensities with the Lorentz-polarization factor, no thermal factor.

Main lines, most intense first (10 to 90 degrees two-theta):
d (Å), 2θ/deg, intensity
3.230, 27.62, 1000
2.867, 31.20, 629
2.738, 32.70, 599
2.647, 33.86, 563
2.257, 39.95, 323
5.295, 16.74, 316
1.773, 51.54, 308
2.312, 38.96, 278
4.623, 19.20, 243
2.027, 44.70, 233
3.840, 23.16, 225
1.520, 60.95, 211

Structure:
a b c (Å): 11.280 11.280 11.280
angles (deg): 99.21 99.21 132.83
Fractional coordinates of all 32 atoms:
Tl 0.250 0.750 0.500
Tl 0.750 0.250 0.500
Hg 0.069 0.203 0.787
Hg 0.203 0.416 0.134
Hg 0.259 0.634 0.893
Hg 0.282 0.069 0.866
Hg 0.366 0.259 0.624
Hg 0.416 0.282 0.213
Hg 0.584 0.718 0.787
Hg 0.634 0.741 0.376
Hg 0.718 0.931 0.134
Hg 0.741 0.366 0.107
Hg 0.797 0.584 0.866
Hg 0.931 0.797 0.213
S 0.036 0.361 0.927
S 0.109 0.036 0.675
S 0.361 0.435 0.325
S 0.435 0.109 0.073
S 0.565 0.891 0.927
S 0.639 0.565 0.675
S 0.891 0.964 0.325
S 0.964 0.639 0.073
Br 0.000 0.000 0.000
Br 0.069 0.676 0.745
Br 0.184 0.436 0.620
Br 0.324 0.069 0.394
Br 0.436 0.816 0.251
Br 0.500 0.500 0.000
Br 0.564 0.184 0.749
Br 0.676 0.931 0.606
Br 0.816 0.564 0.380
Br 0.931 0.324 0.255



6.
Simulated powder X-ray diffraction pattern
Compound: Er9Tm4In11
Radiation: Cu Kα (weighted mean of Kα1 and Kα2)
Structure: DFT lattice parameters and positions (GGA-PBE)
Kinematic intensities with the Lorentz-polarization factor, no thermal factor.

Main lines, most intense first (10 to 90 degrees two-theta):
d (Å), 2θ/deg, intensity
2.603, 34.46, 1000
2.577, 34.81, 483
2.753, 32.53, 428
2.732, 32.78, 412
1.561, 59.21, 284
1.480, 62.78, 266
2.320, 38.81, 237
1.734, 52.78, 160
1.443, 64.57, 149
2.794, 32.03, 145
1.467, 63.38, 124
2.310, 38.99, 122

Structure:
a b c (Å): 13.980 13.980 3.469
angles (deg): 90.00 90.00 111.43
Fractional coordinates of all 24 atoms:
Er 0.000 0.000 0.000
Er 0.113 0.665 0.000
Er 0.296 0.486 0.000
Er 0.335 0.887 0.000
Er 0.486 0.296 0.000
Er 0.514 0.704 0.000
Er 0.665 0.113 0.000
Er 0.704 0.514 0.000
Er 0.887 0.335 0.000
Tm 0.090 0.253 0.000
Tm 0.253 0.090 0.000
Tm 0.747 0.910 0.000
Tm 0.910 0.747 0.000
In 0.091 0.456 0.500
In 0.121 0.879 0.500
In 0.292 0.292 0.500
In 0.313 0.687 0.500
In 0.456 0.091 0.500
In 0.500 0.500 0.500
In 0.544 0.909 0.500
In 0.687 0.313 0.500
In 0.708 0.708 0.500
In 0.879 0.121 0.500
In 0.909 0.544 0.500



7.
Simulated powder X-ray diffraction pattern
Compound: Mn3CuI8
Radiation: Cu Kα (weighted mean of Kα1 and Kα2)
Structure: DFT lattice parameters and positions (GGA-PBE)
Kinematic intensities with the Lorentz-polarization factor, no thermal factor.

Main lines, most intense first (10 to 90 degrees two-theta):
d (Å), 2θ/deg, intensity
3.024, 29.54, 1000
3.381, 26.36, 779
7.445, 11.89, 551
2.937, 30.44, 458
2.038, 44.46, 332
2.184, 41.34, 331
3.723, 23.90, 278
2.070, 43.73, 176
2.214, 40.75, 175
1.692, 54.21, 172
2.394, 37.57, 159
1.216, 78.69, 107

Structure:
a b c (Å): 8.154 8.154 8.904
angles (deg): 118.20 118.20 61.02
Fractional coordinates of all 12 atoms:
Mn 0.000 0.000 0.000
Mn 0.000 0.500 0.000
Mn 0.500 0.000 0.000
Cu 0.500 0.500 0.000
I 0.237 0.745 0.220
I 0.246 0.246 0.228
I 0.255 0.763 0.780
I 0.268 0.268 0.789
I 0.732 0.732 0.211
I 0.745 0.237 0.220
I 0.754 0.754 0.772
I 0.763 0.255 0.780



8.
Simulated powder X-ray diffraction pattern
Compound: ErMn2Pt9
Radiation: Cu Kα (weighted mean of Kα1 and Kα2)
Structure: DFT lattice parameters and positions (GGA-PBE)
Kinematic intensities with the Lorentz-polarization factor, no thermal factor.

Main lines, most intense first (10 to 90 degrees two-theta):
d (Å), 2θ/deg, intensity
2.304, 39.10, 1000
1.998, 45.38, 335
1.205, 79.59, 258
1.410, 66.31, 202
1.989, 45.61, 153
1.413, 66.13, 110
1.200, 79.92, 110
1.152, 84.02, 108
2.822, 31.71, 58
3.997, 22.24, 46
1.787, 51.13, 21
3.978, 22.35, 21

Structure:
a b c (Å): 3.997 3.997 11.933
angles (deg): 90.00 90.00 90.00
Fractional coordinates of all 12 atoms:
Er 0.000 0.000 0.000
Mn 0.000 0.000 0.339
Mn 0.000 0.000 0.661
Pt 0.000 0.500 0.178
Pt 0.000 0.500 0.500
Pt 0.000 0.500 0.822
Pt 0.500 0.000 0.178
Pt 0.500 0.000 0.500
Pt 0.500 0.000 0.822
Pt 0.500 0.500 0.000
Pt 0.500 0.500 0.338
Pt 0.500 0.500 0.662



9.
Simulated powder X-ray diffraction pattern
Compound: La2In3Ag4
Radiation: Cu Kα (weighted mean of Kα1 and Kα2)
Structure: DFT lattice parameters and positions (GGA-PBE)
Kinematic intensities with the Lorentz-polarization factor, no thermal factor.

Main lines, most intense first (10 to 90 degrees two-theta):
d (Å), 2θ/deg, intensity
2.507, 35.82, 1000
2.800, 31.96, 777
2.789, 32.10, 475
2.320, 38.81, 395
2.602, 34.47, 380
2.939, 30.41, 348
1.469, 63.33, 307
1.583, 58.29, 272
2.533, 35.44, 226
2.661, 33.68, 224
2.103, 43.00, 201
1.749, 52.31, 188

Structure:
a b c (Å): 9.014 9.014 8.206
angles (deg): 90.00 90.00 138.86
Fractional coordinates of all 18 atoms:
La 0.106 0.894 0.905
La 0.394 0.606 0.405
La 0.606 0.394 0.595
La 0.894 0.106 0.095
In 0.000 0.000 0.500
In 0.016 0.484 0.750
In 0.484 0.016 0.250
In 0.500 0.500 0.000
In 0.516 0.984 0.750
In 0.984 0.516 0.250
Ag 0.172 0.828 0.516
Ag 0.186 0.314 0.750
Ag 0.314 0.186 0.250
Ag 0.328 0.672 0.016
Ag 0.672 0.328 0.984
Ag 0.686 0.814 0.750
Ag 0.814 0.686 0.250
Ag 0.828 0.172 0.484



10.
Simulated powder X-ray diffraction pattern
Compound: DyHo3Al8
Radiation: Cu Kα (weighted mean of Kα1 and Kα2)
Structure: DFT lattice parameters and positions (GGA-PBE)
Kinematic intensities with the Lorentz-polarization factor, no thermal factor.

Main lines, most intense first (10 to 90 degrees two-theta):
d (Å), 2θ/deg, intensity
2.367, 38.01, 1000
4.530, 19.60, 875
2.779, 32.21, 683
2.770, 32.32, 677
1.600, 57.60, 395
2.362, 38.09, 333
1.511, 61.37, 248
1.508, 61.47, 162
1.389, 67.40, 144
1.385, 67.66, 143
1.606, 57.37, 133
1.195, 80.32, 117

Structure:
a b c (Å): 9.636 9.636 9.636
angles (deg): 33.41 33.41 33.41
Fractional coordinates of all 12 atoms:
Dy 0.000 0.000 0.000
Ho 0.125 0.125 0.125
Ho 0.500 0.500 0.500
Ho 0.625 0.625 0.625
Al 0.062 0.062 0.562
Al 0.062 0.562 0.062
Al 0.062 0.562 0.562
Al 0.312 0.312 0.312
Al 0.562 0.062 0.062
Al 0.562 0.062 0.562
Al 0.562 0.562 0.062
Al 0.812 0.812 0.812



11.
Simulated powder X-ray diffraction pattern
Compound: CsK2TlBr6
Radiation: Cu Kα (weighted mean of Kα1 and Kα2)
Structure: DFT lattice parameters and positions (GGA-PBE)
Kinematic intensities with the Lorentz-polarization factor, no thermal factor.

Main lines, most intense first (10 to 90 degrees two-theta):
d (Å), 2θ/deg, intensity
5.971, 14.84, 1000
2.721, 32.92, 823
3.586, 24.83, 792
2.383, 37.74, 475
4.323, 20.54, 420
2.419, 37.16, 401
6.791, 13.04, 316
2.986, 29.93, 299
2.083, 43.45, 233
2.622, 34.19, 197
1.793, 50.93, 197
1.570, 58.83, 175

Structure:
a b c (Å): 8.666 8.666 8.666
angles (deg): 56.90 56.90 56.90
Fractional coordinates of all 10 atoms:
Cs 0.000 0.000 0.000
K 0.282 0.282 0.282
K 0.798 0.798 0.798
Tl 0.483 0.483 0.483
Br 0.125 0.660 0.421
Br 0.258 0.574 0.829
Br 0.421 0.125 0.660
Br 0.574 0.829 0.258
Br 0.660 0.421 0.125
Br 0.829 0.258 0.574